# 1
For Pr2CuGe2O8, DFT lattice parameters and positions (GGA-PBE) gives the simulated powder diffractogram in this record (a wavelength of 1.5418 Å).
Neutral-atom scattering factors, no anomalous dispersion.

Peak list (10 most intense, 15 to 90 degrees two-theta, by angle)
two_theta	I (rel.)
24.18	36
26.86	100
27.76	92
30.96	89
31.51	25
33.58	90
34.20	41
41.69	37
46.23	46
47.36	41

Structural model:
```
data_Pr2CuGe2O8
_cell_length_a 9.2182
_cell_length_b 9.2182
_cell_length_c 5.2463
_cell_angle_alpha 105.56
_cell_angle_beta 105.56
_cell_angle_gamma 114.47
_symmetry_space_group_name_H-M 'P 1'
_symmetry_Int_Tables_number 1
loop_
_symmetry_equiv_pos_as_xyz
'x,y,z'
loop_
_atom_site_label
_atom_site_fract_x
_atom_site_fract_y
_atom_site_fract_z
Pr1 0.1214 0.8786 0.0000
Pr2 0.3766 0.6199 0.4642
Pr3 0.6199 0.3766 0.4642
Pr4 0.8786 0.1214 0.0000
Cu1 0.4991 0.9118 0.1631
Cu2 0.9118 0.4991 0.1631
Ge1 0.0457 0.4675 0.7169
Ge2 0.2403 0.2403 0.7738
Ge3 0.4675 0.0457 0.7169
Ge4 0.7276 0.7276 0.1529
O1 0.0705 0.4190 0.0355
O2 0.0738 0.0738 0.8146
O3 0.1461 0.3300 0.5582
O4 0.2041 0.6674 0.7328
O5 0.3300 0.1461 0.5582
O6 0.3370 0.8555 0.3612
O7 0.4014 0.4014 0.1314
O8 0.4190 0.0705 0.0355
O9 0.5754 0.5754 0.7800
O10 0.5767 0.9230 0.8630
O11 0.6233 0.8097 0.3442
O12 0.6674 0.2041 0.7328
O13 0.8097 0.6233 0.3442
O14 0.8555 0.3370 0.3612
O15 0.9024 0.9024 0.1370
O16 0.9230 0.5767 0.8630
```

***

# 2
For CuGeRhO6, DFT lattice parameters and positions (GGA-PBE) gives the simulated powder diffractogram in this record (a wavelength of 1.5418 Å).
Neutral-atom scattering factors, no anomalous dispersion.

Peak list (10 most intense, 15 to 90 degrees two-theta, by angle)
two_theta	I (rel.)
20.72	21
29.25	100
35.77	46
41.69	27
46.86	26
56.44	50
60.32	24
64.27	21
69.19	8
83.23	9

Structural model:
```
data_CuGeRhO6
_cell_length_a 5.0205
_cell_length_b 5.0205
_cell_length_c 8.5758
_cell_angle_alpha 90.00
_cell_angle_beta 90.00
_cell_angle_gamma 120.00
_symmetry_space_group_name_H-M 'P 1'
_symmetry_Int_Tables_number 1
loop_
_symmetry_equiv_pos_as_xyz
'x,y,z'
loop_
_atom_site_label
_atom_site_fract_x
_atom_site_fract_y
_atom_site_fract_z
Cu1 0.0000 0.0000 0.0000
Cu2 0.0000 0.0000 0.5000
Ge1 0.3333 0.6667 0.2500
Ge2 0.6667 0.3333 0.7500
Rh1 0.3333 0.6667 0.7500
Rh2 0.6667 0.3333 0.2500
O1 0.0075 0.3551 0.1279
O2 0.0075 0.6523 0.3721
O3 0.3477 0.3551 0.3721
O4 0.3477 0.9925 0.1279
O5 0.3551 0.0075 0.6279
O6 0.3551 0.3477 0.8721
O7 0.6449 0.6523 0.1279
O8 0.6449 0.9925 0.3721
O9 0.6523 0.0075 0.8721
O10 0.6523 0.6449 0.6279
O11 0.9925 0.3477 0.6279
O12 0.9925 0.6449 0.8721
```

***

# 3
For Cu4SiGe3O12, DFT lattice parameters and positions (GGA-PBE) gives the simulated powder diffractogram in this record (a wavelength of 1.5418 Å).
Neutral-atom scattering factors, no anomalous dispersion.

Peak list (10 most intense, 15 to 90 degrees two-theta, by angle)
two_theta	I (rel.)
20.37	23
26.91	100
35.36	23
36.69	23
36.84	18
40.87	14
47.65	12
52.22	13
55.13	18
69.94	11

Structural model:
```
data_Cu4SiGe3O12
_cell_length_a 2.9434
_cell_length_b 17.6658
_cell_length_c 5.0127
_cell_angle_alpha 90.00
_cell_angle_beta 90.00
_cell_angle_gamma 90.00
_symmetry_space_group_name_H-M 'P 1'
_symmetry_Int_Tables_number 1
loop_
_symmetry_equiv_pos_as_xyz
'x,y,z'
loop_
_atom_site_label
_atom_site_fract_x
_atom_site_fract_y
_atom_site_fract_z
Cu1 0.0000 0.1239 0.0000
Cu2 0.0000 0.3751 0.0084
Cu3 0.0000 0.6249 0.0084
Cu4 0.0000 0.8761 0.0000
Si1 0.5000 0.0000 0.6262
Ge1 0.5000 0.2489 0.4048
Ge2 0.5000 0.5000 0.6056
Ge3 0.5000 0.7511 0.4048
O1 0.0000 0.0000 0.4612
O2 0.0000 0.2477 0.6090
O3 0.0000 0.5000 0.4015
O4 0.0000 0.7523 0.6090
O5 0.5000 0.0777 0.8049
O6 0.5000 0.1669 0.2034
O7 0.5000 0.3333 0.2143
O8 0.5000 0.4169 0.8027
O9 0.5000 0.5831 0.8027
O10 0.5000 0.6667 0.2143
O11 0.5000 0.8331 0.2034
O12 0.5000 0.9223 0.8049
```

***

# 4
For Sr2CuGe2O7, DFT lattice parameters and positions (GGA-PBE) gives the simulated powder diffractogram in this record (a wavelength of 1.5418 Å).
Neutral-atom scattering factors, no anomalous dispersion.

Peak list (10 most intense, 15 to 90 degrees two-theta, by angle)
two_theta	I (rel.)
22.55	9
27.17	18
29.22	100
33.87	39
45.99	12
47.98	11
48.66	31
57.84	13
62.22	15
70.77	7

Structural model:
```
data_Sr2CuGe2O7
_cell_length_a 8.3759
_cell_length_b 8.3759
_cell_length_c 5.2851
_cell_angle_alpha 90.00
_cell_angle_beta 90.00
_cell_angle_gamma 90.00
_symmetry_space_group_name_H-M 'P 1'
_symmetry_Int_Tables_number 1
loop_
_symmetry_equiv_pos_as_xyz
'x,y,z'
loop_
_atom_site_label
_atom_site_fract_x
_atom_site_fract_y
_atom_site_fract_z
Sr1 0.1652 0.3348 0.0105
Sr2 0.3348 0.8348 0.9895
Sr3 0.6652 0.1652 0.9895
Sr4 0.8348 0.6652 0.0105
Cu1 0.0000 0.0000 0.5000
Cu2 0.5000 0.5000 0.5000
Ge1 0.1409 0.6409 0.5331
Ge2 0.3591 0.1409 0.4669
Ge3 0.6409 0.8591 0.4669
Ge4 0.8591 0.3591 0.5331
O1 0.0000 0.5000 0.6745
O2 0.0864 0.8196 0.6887
O3 0.1348 0.6348 0.2041
O4 0.1804 0.0864 0.3113
O5 0.3196 0.5864 0.6887
O6 0.3652 0.1348 0.7959
O7 0.4136 0.3196 0.3113
O8 0.5000 0.0000 0.3255
O9 0.5864 0.6804 0.3113
O10 0.6348 0.8652 0.7959
O11 0.6804 0.4136 0.6887
O12 0.8196 0.9136 0.3113
O13 0.8652 0.3652 0.2041
O14 0.9136 0.1804 0.6887
```

***

# 5
For TaCuGeO6, DFT lattice parameters and positions (GGA-PBE) gives the simulated powder diffractogram in this record (a wavelength of 1.5418 Å).
Neutral-atom scattering factors, no anomalous dispersion.

Peak list (10 most intense, 15 to 90 degrees two-theta, by angle)
two_theta	I (rel.)
21.53	33
27.16	100
35.64	73
38.78	21
53.68	63
56.01	16
63.33	14
68.17	19
68.84	14
81.30	12

Structural model:
```
data_TaCuGeO6
_cell_length_a 4.6439
_cell_length_b 4.6439
_cell_length_c 8.9963
_cell_angle_alpha 90.00
_cell_angle_beta 90.00
_cell_angle_gamma 90.00
_symmetry_space_group_name_H-M 'P 1'
_symmetry_Int_Tables_number 1
loop_
_symmetry_equiv_pos_as_xyz
'x,y,z'
loop_
_atom_site_label
_atom_site_fract_x
_atom_site_fract_y
_atom_site_fract_z
Ta1 0.0000 0.0000 0.0000
Ta2 0.5000 0.5000 0.5000
Cu1 0.0000 0.0000 0.3289
Cu2 0.5000 0.5000 0.8289
Ge1 0.0000 0.0000 0.6601
Ge2 0.5000 0.5000 0.1601
O1 0.1875 0.1875 0.8226
O2 0.1917 0.1917 0.5024
O3 0.2071 0.2071 0.1558
O4 0.2929 0.7071 0.6558
O5 0.3083 0.6917 0.0024
O6 0.3125 0.6875 0.3226
O7 0.6875 0.3125 0.3226
O8 0.6917 0.3083 0.0024
O9 0.7071 0.2929 0.6558
O10 0.7929 0.7929 0.1558
O11 0.8083 0.8083 0.5024
O12 0.8125 0.8125 0.8226
```

***

# 6
For Tb2CuGe4O12, DFT lattice parameters and positions (GGA-PBE) gives the simulated powder diffractogram in this record (a wavelength of 1.5418 Å).
Neutral-atom scattering factors, no anomalous dispersion.

Peak list (10 most intense, 15 to 90 degrees two-theta, by angle)
two_theta	I (rel.)
21.52	34
22.35	22
25.18	47
27.51	100
29.87	42
31.09	59
34.26	31
34.51	21
35.90	21
48.69	20

Structural model:
```
data_Tb2CuGe4O12
_cell_length_a 4.9891
_cell_length_b 7.3161
_cell_length_c 8.0514
_cell_angle_alpha 66.24
_cell_angle_beta 86.75
_cell_angle_gamma 76.67
_symmetry_space_group_name_H-M 'P 1'
_symmetry_Int_Tables_number 1
loop_
_symmetry_equiv_pos_as_xyz
'x,y,z'
loop_
_atom_site_label
_atom_site_fract_x
_atom_site_fract_y
_atom_site_fract_z
Tb1 0.0467 0.2696 0.4512
Tb2 0.9533 0.7304 0.5488
Cu1 0.0000 0.5000 0.0000
Ge1 0.4176 0.8842 0.7975
Ge2 0.4597 0.6700 0.2239
Ge3 0.5403 0.3300 0.7761
Ge4 0.5824 0.1158 0.2025
O1 0.2056 0.9237 0.6150
O2 0.2269 0.5668 0.3877
O3 0.2472 0.5043 0.7976
O4 0.2584 0.2779 0.1918
O5 0.2666 0.8146 0.0126
O6 0.4207 0.1560 0.7064
O7 0.5793 0.8440 0.2936
O8 0.7334 0.1853 0.9874
O9 0.7416 0.7221 0.8082
O10 0.7528 0.4957 0.2024
O11 0.7731 0.4332 0.6123
O12 0.7944 0.0763 0.3850
```

***

Which formula does entry 1 have? Pr2CuGe2O8